Structure and theoretical powder X-ray diffraction pattern of NiAs4Pd (a crystal structure in Alexandria, relaxed with GGA-PBE; Cu Kα (weighted mean of Kα1 and Kα2)).
Lines closer than 0.1° are merged.

Peak list (10 most intense, 10° ≤ 2θ ≤ 80°, most intense first)
33.7°, intensity 100; 51.0°, intensity 87; 37.0°, intensity 83; 30.1°, intensity 54; 43.0°, intensity 27; 58.1°, intensity 21; 58.0°, intensity 20; 55.8°, intensity 15; 72.9°, intensity 14; 51.0°, intensity 14

```
NiAs4Pd
1.0
5.9467 0.0000 0.0000
0.0000 5.9414 0.0000
-0.0152 0.0000 5.9421
Ni As Pd
2 8 2
Cartesian
0.0000 0.0000 0.0000
-0.0076 2.9707 2.9711
0.6503 0.7489 3.7177
0.6579 2.2217 0.7466
2.1879 3.6444 3.6458
2.1955 5.2677 0.6747
3.7360 0.6737 5.2674
3.7436 2.2970 2.2963
5.2735 3.7196 5.1955
5.2812 5.1924 2.2244
2.9657 0.0000 2.9711
2.9734 2.9707 0.0000
```

***

Structure and theoretical powder X-ray diffraction pattern of Sr2Ni3As4Pd (a crystal structure in Alexandria, relaxed with GGA-PBE; Cu Kα (weighted mean of Kα1 and Kα2)).
Lines closer than 0.1° are merged.

Peak list (10 most intense, 10° ≤ 2θ ≤ 80°, most intense first)
34.6°, intensity 100; 41.8°, intensity 70; 34.5°, intensity 52; 71.6°, intensity 29; 47.7°, intensity 27; 55.3°, intensity 26; 60.5°, intensity 23; 51.4°, intensity 17; 68.3°, intensity 15; 65.0°, intensity 14

```
Sr2Ni3As4Pd
1.0
4.3257 0.0000 0.0000
0.0000 4.3257 0.0000
0.0000 0.0000 9.7529
Sr Ni As Pd
2 3 4 1
Cartesian
0.0000 2.1628 2.4174
2.1628 0.0000 7.3355
0.0000 2.1628 8.6394
2.1628 0.0000 1.1135
2.1628 2.1628 4.8764
0.0000 0.0000 0.0000
0.0000 2.1628 6.2187
2.1628 0.0000 3.5342
2.1628 2.1628 0.0000
0.0000 0.0000 4.8764
```

***

Structure and theoretical powder X-ray diffraction pattern of Pm2Ni2As3 (a crystal structure in Alexandria, relaxed with GGA-PBE; Cu Kα (weighted mean of Kα1 and Kα2)).
Lines closer than 0.1° are merged.

Peak list (10 most intense, 10° ≤ 2θ ≤ 80°, most intense first)
34.6°, intensity 100; 34.2°, intensity 72; 30.4°, intensity 41; 43.9°, intensity 36; 72.2°, intensity 22; 38.9°, intensity 20; 51.8°, intensity 20; 38.3°, intensity 18; 44.2°, intensity 18; 64.1°, intensity 17

```
Pm2Ni2As3
1.0
2.0614 -9.7933 0.0000
2.0614 9.7933 0.0000
0.0000 0.0000 6.7679
Pm Ni As
4 4 6
Cartesian
2.0614 9.0871 5.0760
2.0614 6.6968 1.6920
2.0614 -6.6968 5.0760
2.0614 -9.0871 1.6920
2.0614 4.0289 0.3518
2.0614 4.0289 3.0322
2.0614 -4.0289 3.7358
2.0614 -4.0289 6.4161
2.0614 5.4401 5.0760
2.0614 1.6492 3.5462
2.0614 1.6492 6.6058
2.0614 -1.6492 0.1622
2.0614 -1.6492 3.2218
2.0614 -5.4401 1.6920
```

***

Structure and theoretical powder X-ray diffraction pattern of PmNiAs2 (a crystal structure in Alexandria, relaxed with GGA-PBE; Cu Kα (weighted mean of Kα1 and Kα2)).
Lines closer than 0.1° are merged.

Peak list (10 most intense, 10° ≤ 2θ ≤ 80°, most intense first)
36.7°, intensity 100; 32.1°, intensity 56; 45.0°, intensity 43; 22.5°, intensity 23; 56.4°, intensity 23; 77.5°, intensity 22; 48.1°, intensity 16; 65.5°, intensity 14; 66.9°, intensity 12; 37.3°, intensity 12

```
PmNiAs2
1.0
0.0000 9.6314 2.8483
2.8487 0.0000 2.8483
2.8487 9.6314 0.0000
Pm Ni As
2 2 4
Cartesian
2.8487 2.3117 2.8483
2.8487 16.9511 2.8483
1.4244 4.8157 1.4253
4.2731 14.4471 4.2736
2.8487 6.0959 2.8488
4.2684 9.6314 4.2682
2.8487 13.1669 2.8488
1.4291 9.6314 4.2682
```